Diffraction record for ScSi7Os3. The X-ray powder pattern is theoretical, not measured: it uses a DFT-relaxed cell (GGA-PBE, Alexandria) and copper Kα.
Intensities are scaled so that the largest is 100.

Structural model:
Unit cell a=7.927 b=7.927 c=7.927 alpha=57.38 beta=57.38 gamma=57.38
Sites, in units of the cell vectors:
1 Sc 0.000 0.000 0.000
2 Sc 0.500 0.500 0.500
3 Si 0.066 0.855 0.668
4 Si 0.145 0.332 0.934
5 Si 0.168 0.355 0.566
6 Si 0.250 0.250 0.250
7 Si 0.332 0.934 0.145
8 Si 0.355 0.566 0.168
9 Si 0.434 0.832 0.645
10 Si 0.566 0.168 0.355
11 Si 0.645 0.434 0.832
12 Si 0.668 0.066 0.855
13 Si 0.750 0.750 0.750
14 Si 0.832 0.645 0.434
15 Si 0.855 0.668 0.066
16 Si 0.934 0.145 0.332
17 Os 0.079 0.750 0.421
18 Os 0.250 0.579 0.921
19 Os 0.421 0.079 0.750
20 Os 0.579 0.921 0.250
21 Os 0.750 0.421 0.079
22 Os 0.921 0.250 0.579

Most intense lines, 2θ = 10–90°, sorted by position:
| 2theta | d [Å] | I_rel |
| --- | --- | --- |
| 23.37 | 3.806 | 14 |
| 27.05 | 3.297 | 100 |
| 36.03 | 2.493 | 17 |
| 41.08 | 2.197 | 25 |
| 47.77 | 1.904 | 32 |
| 49.87 | 1.829 | 50 |
| 66.53 | 1.405 | 16 |
| 71.54 | 1.319 | 18 |

***

Diffraction record for Cs3Pb4. The X-ray powder pattern is theoretical, not measured: it uses a DFT-relaxed cell (GGA-PBE, Alexandria) and copper Kα.
Intensities are scaled so that the largest is 100.

Structural model:
Unit cell a=17.412 b=7.742 c=7.742 alpha=40.83 beta=90.00 gamma=90.00
Sites, in units of the cell vectors:
1 Cs 0.000 0.000 0.000
2 Cs 0.149 0.322 0.322
3 Cs 0.351 0.776 0.776
4 Cs 0.500 0.098 0.098
5 Cs 0.649 0.776 0.776
6 Cs 0.851 0.322 0.322
7 Pb 0.000 0.700 0.700
8 Pb 0.159 0.611 0.611
9 Pb 0.250 0.048 0.048
10 Pb 0.341 0.487 0.487
11 Pb 0.500 0.398 0.398
12 Pb 0.659 0.487 0.487
13 Pb 0.750 0.048 0.048
14 Pb 0.841 0.611 0.611

Most intense lines, 2θ = 10–90°, sorted by position:
| 2theta | d [Å] | I_rel |
| --- | --- | --- |
| 25.24 | 3.528 | 100 |
| 27.02 | 3.300 | 78 |
| 29.03 | 3.076 | 85 |
| 29.17 | 3.061 | 51 |
| 32.25 | 2.776 | 51 |
| 33.18 | 2.700 | 71 |
| 35.66 | 2.517 | 58 |
| 44.65 | 2.029 | 53 |

***

Diffraction record for LaSb2S4. The X-ray powder pattern is theoretical, not measured: it uses a DFT-relaxed cell (GGA-PBE, Alexandria) and copper Kα.
Intensities are scaled so that the largest is 100.

Structural model:
Unit cell a=7.483 b=7.483 c=7.470 alpha=90.00 beta=90.00 gamma=90.00
Sites, in units of the cell vectors:
1 La 0.000 0.000 0.000
2 La 0.500 0.500 0.500
3 Sb 0.000 0.500 0.250
4 Sb 0.000 0.500 0.750
5 Sb 0.500 0.000 0.250
6 Sb 0.500 0.000 0.750
7 S 0.177 0.306 0.500
8 S 0.194 0.677 0.000
9 S 0.306 0.823 0.500
10 S 0.323 0.194 0.000
11 S 0.677 0.806 0.000
12 S 0.694 0.177 0.500
13 S 0.806 0.323 0.000
14 S 0.823 0.694 0.500

Most intense lines, 2θ = 10–90°, sorted by position:
| 2theta | d [Å] | I_rel |
| --- | --- | --- |
| 16.77 | 5.288 | 52 |
| 23.78 | 3.741 | 36 |
| 29.26 | 3.052 | 100 |
| 33.89 | 2.645 | 49 |
| 45.37 | 1.999 | 72 |
| 48.72 | 1.869 | 17 |
| 54.90 | 1.672 | 22 |
| 78.87 | 1.214 | 17 |

***

Diffraction record for KLi2U2Te6. The X-ray powder pattern is theoretical, not measured: it uses a DFT-relaxed cell (GGA-PBE, Alexandria) and copper Kα.
Intensities are scaled so that the largest is 100.

Structural model:
Unit cell a=7.560 b=7.747 c=7.849 alpha=61.18 beta=79.92 gamma=67.27
Sites, in units of the cell vectors:
1 K 0.000 0.000 0.000
2 Li 0.475 0.130 0.685
3 Li 0.525 0.870 0.315
4 U 0.001 0.663 0.672
5 U 0.999 0.337 0.328
6 Te 0.250 0.532 0.381
7 Te 0.252 0.913 0.622
8 Te 0.263 0.280 0.002
9 Te 0.737 0.720 0.998
10 Te 0.748 0.087 0.378
11 Te 0.750 0.468 0.619

Most intense lines, 2θ = 10–90°, sorted by position:
| 2theta | d [Å] | I_rel |
| --- | --- | --- |
| 12.70 | 6.972 | 92 |
| 13.97 | 6.340 | 48 |
| 23.15 | 3.843 | 49 |
| 28.02 | 3.184 | 100 |
| 28.62 | 3.119 | 96 |
| 28.75 | 3.105 | 98 |
| 40.63 | 2.221 | 36 |
| 42.66 | 2.119 | 37 |

***

Diffraction record for Sc2Ni3. The X-ray powder pattern is theoretical, not measured: it uses a DFT-relaxed cell (GGA-PBE, Alexandria) and copper Kα.
Intensities are scaled so that the largest is 100.

Structural model:
Unit cell a=7.316 b=5.039 c=8.135 alpha=62.36 beta=37.59 gamma=80.05
Sites, in units of the cell vectors:
1 Sc 0.123 0.877 0.279
2 Sc 0.529 0.971 0.373
3 Sc 0.877 0.123 0.721
4 Sc 0.971 0.529 0.127
5 Ni 0.179 0.179 0.821
6 Ni 0.429 0.429 0.071
7 Ni 0.442 0.555 0.313
8 Ni 0.555 0.442 0.690
9 Ni 0.560 0.937 0.695
10 Ni 0.937 0.560 0.808

Most intense lines, 2θ = 10–90°, sorted by position:
| 2theta | d [Å] | I_rel |
| --- | --- | --- |
| 21.34 | 4.163 | 40 |
| 37.98 | 2.369 | 31 |
| 38.72 | 2.325 | 79 |
| 40.89 | 2.207 | 75 |
| 43.51 | 2.080 | 100 |
| 49.07 | 1.857 | 25 |
| 49.46 | 1.843 | 34 |
| 51.03 | 1.790 | 24 |

***

Diffraction record for LaGaSb2. The X-ray powder pattern is theoretical, not measured: it uses a DFT-relaxed cell (GGA-PBE, Alexandria) and copper Kα.
Intensities are scaled so that the largest is 100.

Structural model:
Unit cell a=4.406 b=23.101 c=4.428 alpha=90.00 beta=90.00 gamma=90.00
Sites, in units of the cell vectors:
1 La 0.000 0.138 0.250
2 La 0.000 0.862 0.750
3 La 0.500 0.362 0.750
4 La 0.500 0.638 0.250
5 Ga 0.157 0.000 0.000
6 Ga 0.343 0.500 0.500
7 Ga 0.657 0.500 0.000
8 Ga 0.843 0.000 0.500
9 Sb 0.000 0.250 0.750
10 Sb 0.000 0.411 0.250
11 Sb 0.000 0.589 0.750
12 Sb 0.000 0.750 0.250
13 Sb 0.500 0.089 0.750
14 Sb 0.500 0.250 0.250
15 Sb 0.500 0.750 0.750
16 Sb 0.500 0.911 0.250

Most intense lines, 2θ = 10–90°, sorted by position:
| 2theta | d [Å] | I_rel |
| --- | --- | --- |
| 25.35 | 3.514 | 13 |
| 30.91 | 2.893 | 100 |
| 33.94 | 2.641 | 21 |
| 34.67 | 2.588 | 29 |
| 40.96 | 2.203 | 12 |
| 47.40 | 1.918 | 13 |
| 59.16 | 1.562 | 11 |
| 68.08 | 1.377 | 11 |

***

Diffraction record for CsAgF5. The X-ray powder pattern is theoretical, not measured: it uses a DFT-relaxed cell (GGA-PBE, Alexandria) and copper Kα.
Intensities are scaled so that the largest is 100.

Structural model:
Unit cell a=11.214 b=4.291 c=6.950 alpha=90.00 beta=126.98 gamma=90.00
Sites, in units of the cell vectors:
1 Cs 0.000 0.000 0.000
2 Cs 0.500 0.500 0.000
3 Ag 0.000 0.500 0.500
4 Ag 0.500 0.000 0.500
5 F 0.000 0.000 0.500
6 F 0.148 0.500 0.437
7 F 0.154 0.500 0.848
8 F 0.346 0.000 0.152
9 F 0.352 0.000 0.563
10 F 0.500 0.500 0.500
11 F 0.648 0.000 0.437
12 F 0.654 0.000 0.848
13 F 0.846 0.500 0.152
14 F 0.852 0.500 0.563

Most intense lines, 2θ = 10–90°, sorted by position:
| 2theta | d [Å] | I_rel |
| --- | --- | --- |
| 19.82 | 4.479 | 76 |
| 24.38 | 3.651 | 100 |
| 25.64 | 3.474 | 28 |
| 31.43 | 2.847 | 40 |
| 31.81 | 2.814 | 37 |
| 32.25 | 2.776 | 31 |
| 32.99 | 2.715 | 32 |
| 47.86 | 1.901 | 23 |

***

Diffraction record for PmDy4Er8. The X-ray powder pattern is theoretical, not measured: it uses a DFT-relaxed cell (GGA-PBE, Alexandria) and copper Kα.
Intensities are scaled so that the largest is 100.

Structural model:
Unit cell a=9.877 b=9.877 c=9.877 alpha=43.07 beta=43.07 gamma=43.07
Sites, in units of the cell vectors:
1 Pm 0.000 0.000 0.000
2 Dy 0.000 0.000 0.500
3 Dy 0.000 0.500 0.000
4 Dy 0.500 0.000 0.000
5 Dy 0.500 0.500 0.500
6 Er 0.250 0.250 0.693
7 Er 0.250 0.693 0.250
8 Er 0.282 0.282 0.282
9 Er 0.307 0.750 0.750
10 Er 0.693 0.250 0.250
11 Er 0.718 0.718 0.718
12 Er 0.750 0.307 0.750
13 Er 0.750 0.750 0.307

Most intense lines, 2θ = 10–90°, sorted by position:
| 2theta | d [Å] | I_rel |
| --- | --- | --- |
| 28.62 | 3.119 | 17 |
| 29.97 | 2.982 | 31 |
| 31.46 | 2.844 | 100 |
| 33.05 | 2.710 | 43 |
| 39.30 | 2.292 | 28 |
| 50.33 | 1.813 | 30 |
| 53.09 | 1.725 | 17 |
| 59.69 | 1.549 | 23 |

***

Diffraction record for Dy9ErTh2. The X-ray powder pattern is theoretical, not measured: it uses a DFT-relaxed cell (GGA-PBE, Alexandria) and copper Kα.
Intensities are scaled so that the largest is 100.

Structural model:
Unit cell a=5.018 b=5.018 c=14.996 alpha=90.00 beta=90.00 gamma=90.00
Sites, in units of the cell vectors:
1 Dy 0.000 0.000 0.000
2 Dy 0.000 0.000 0.333
3 Dy 0.000 0.000 0.667
4 Dy 0.000 0.500 0.168
5 Dy 0.000 0.500 0.500
6 Dy 0.000 0.500 0.832
7 Dy 0.500 0.000 0.168
8 Dy 0.500 0.000 0.500
9 Dy 0.500 0.000 0.832
10 Er 0.500 0.500 0.000
11 Th 0.500 0.500 0.334
12 Th 0.500 0.500 0.666

Most intense lines, 2θ = 10–90°, sorted by position:
| 2theta | d [Å] | I_rel |
| --- | --- | --- |
| 30.90 | 2.893 | 100 |
| 35.79 | 2.509 | 34 |
| 35.93 | 2.499 | 17 |
| 51.51 | 1.774 | 12 |
| 51.62 | 1.771 | 24 |
| 61.29 | 1.512 | 29 |
| 61.48 | 1.508 | 14 |
| 64.40 | 1.447 | 12 |